(1)
AcSn5Pd: calculated powder X-ray diffraction pattern (a wavelength of 1.5418 Å), based on DFT lattice parameters and positions (PBE).

Cell and atoms:
Unit cell a=4.8984 b=4.8984 c=7.9219 alpha=90.00 beta=90.00 gamma=90.00
Positions (direct):
Ac: 0.0000 0.0000 0.0000
Sn: 0.0000 0.5000 0.3074
Sn: 0.0000 0.5000 0.6926
Sn: 0.5000 0.0000 0.3074
Sn: 0.5000 0.0000 0.6926
Sn: 0.5000 0.5000 0.0000
Pd: 0.0000 0.0000 0.5000

Largest 8 diffraction maxima, sorted by position, 2θ from 15° to 90°:
d [Å]  2θ (°)  I_rel
3.174  28.12  41
2.641  33.95  17
2.607  34.40  100
2.449  36.69  56
1.796  50.85  23
1.732  52.87  20
1.442  64.63  46
1.108  88.19  20

(2)
Sm5Bi2Te2: calculated powder X-ray diffraction pattern (a wavelength of 1.5418 Å), based on DFT lattice parameters and positions (PBE).

Cell and atoms:
Unit cell a=8.9558 b=8.9558 c=8.3539 alpha=90.00 beta=90.00 gamma=55.40
Positions (direct):
Sm: 0.0000 0.0000 0.0000
Sm: 0.0208 0.7021 0.6573
Sm: 0.2021 0.5208 0.1573
Sm: 0.2979 0.9792 0.6573
Sm: 0.4792 0.7979 0.1573
Sm: 0.5000 0.5000 0.5000
Sm: 0.5208 0.2021 0.8427
Sm: 0.7021 0.0208 0.3427
Sm: 0.7979 0.4792 0.8427
Sm: 0.9792 0.2979 0.3427
Bi: 0.1440 0.8560 0.3567
Bi: 0.3560 0.6440 0.8567
Bi: 0.6440 0.3560 0.1433
Bi: 0.8560 0.1440 0.6433
Te: 0.1976 0.1976 0.0000
Te: 0.3024 0.3024 0.5000
Te: 0.6976 0.6976 0.5000
Te: 0.8024 0.8024 0.0000

Largest 8 diffraction maxima, sorted by position, 2θ from 15° to 90°:
d [Å]  2θ (°)  I_rel
3.372  26.43  34
3.050  29.29  87
2.949  30.31  21
2.715  32.99  69
2.643  33.92  26
2.602  34.47  100
2.028  44.69  29
1.485  62.56  33

- Which formula does entry 1 have?
  AcSn5Pd